(1)
CdH2O2: computed powder XRD pattern (λ = 1.5418 Å (Cu Kα)), based on the GGA-PBE geometry in the Materials Project.

Atomic structure:
```
CdH2O2
1.0
3.4999 0.0000 0.0000
-0.1142 5.7958 0.0000
-1.6885 -2.8856 5.1558
Cd H O
2 4 4
Direct
0.0000 0.0000 0.0000
0.3078 0.3094 0.6164
0.0171 0.5321 0.0282
0.2984 0.8125 0.5880
0.4866 0.4780 0.3060
0.6625 0.8806 0.3110
0.2080 0.4687 0.3069
0.3749 0.9899 0.7453
0.6663 0.0478 0.3088
0.9364 0.5527 0.8706
```

Principal peaks in the range 15° ≤ 2θ ≤ 90°, by intensity:
2θ = 17.55°, 5.052 Å, intensity 100, hkl 0 1 -1; 2θ = 30.23°, 2.956 Å, intensity 66, hkl 0 1 -2; 2θ = 36.65°, 2.452 Å, intensity 59, hkl 1 0 -2; 2θ = 26.91°, 3.314 Å, intensity 40, hkl 1 0 0; 2θ = 30.86°, 2.898 Å, intensity 39, hkl 0 2 -1; 2θ = 29.56°, 3.022 Å, intensity 31, hkl 1 -1 0; 2θ = 48.29°, 1.885 Å, intensity 25, hkl -1 2 1; 2θ = 30.09°, 2.970 Å, intensity 25, hkl 1 1 -1; 2θ = 46.66°, 1.947 Å, intensity 21, hkl 1 1 -3; 2θ = 46.29°, 1.961 Å, intensity 19, hkl 1 -1 2; 2θ = 17.20°, 5.156 Å, intensity 18, hkl 0 0 1; 2θ = 34.84°, 2.575 Å, intensity 17, hkl 0 0 2

***

(2)
LiMgO3: computed powder XRD pattern (λ = 1.5418 Å (Cu Kα)), based on the GGA-PBE geometry in the Materials Project.

Atomic structure:
```
LiMgO3
1.0
3.9698 0.0000 0.0000
0.0000 3.9698 0.0000
0.0000 0.0000 3.9698
Li Mg O
1 1 3
Direct
0.0000 0.0000 0.0000
0.5000 0.5000 0.5000
0.0000 0.5000 0.5000
0.5000 0.0000 0.5000
0.5000 0.5000 0.0000
```

Principal peaks in the range 15° ≤ 2θ ≤ 90°, by intensity:
2θ = 22.40°, 3.970 Å, intensity 100, hkl 1 0 0; 2θ = 45.71°, 1.985 Å, intensity 56, hkl 2 0 0; 2θ = 51.47°, 1.775 Å, intensity 33, hkl 2 1 0; 2θ = 66.63°, 1.404 Å, intensity 29, hkl 2 2 0; 2θ = 39.31°, 2.292 Å, intensity 15, hkl 1 1 1; 2θ = 71.27°, 1.323 Å, intensity 13, hkl 3 0 0; 2θ = 31.88°, 2.807 Å, intensity 10, hkl 1 1 0; 2θ = 84.55°, 1.146 Å, intensity 8, hkl 2 2 2; 2θ = 56.81°, 1.621 Å, intensity 6, hkl 2 1 1; 2θ = 88.88°, 1.101 Å, intensity 5, hkl 3 2 0; 2θ = 75.77°, 1.255 Å, intensity 3, hkl 3 1 0; 2θ = 80.19°, 1.197 Å, intensity 2, hkl 3 1 1